1.
Simulated X-ray diffraction stick pattern of PmTmGa4 for copper Kα, from a crystal structure in Alexandria, relaxed with PBE.

Atomic structure:
```
data_PmTmGa4
_space_group_name_H-M_alt 'I m m 2'
_space_group_IT_number 44
_cell_length_a 4.281
_cell_length_b 7.029
_cell_length_c 8.275
_cell_angle_alpha 90.00
_cell_angle_beta 90.00
_cell_angle_gamma 90.00
loop_
_space_group_symop_operation_xyz
'x,y,z'
'-x,-y,z'
'-x,y,z'
'x,-y,z'
'x+1/2,y+1/2,z+1/2'
'-x+1/2,-y+1/2,z+1/2'
'-x+1/2,y+1/2,z+1/2'
'x+1/2,-y+1/2,z+1/2'
loop_
_atom_site_label
_atom_site_fract_x
_atom_site_fract_y
_atom_site_fract_z
Pm1 0.000 0.000 0.000
Tm1 0.000 0.500 0.880
Ga1 0.000 0.193 0.604
Ga2 0.000 0.298 0.281
```

The 10 most intense peaks (10° ≤ 2θ ≤ 80°), sorted by position:
2theta  d (Å)  I/Imax  h k l
23.4  3.802  15  1 0 1
32.7  2.740  63  1 1 2
33.5  2.679  35  0 2 2
34.8  2.581  100  1 2 1
34.9  2.568  22  0 1 3
38.8  2.319  39  1 0 3
40.0  2.254  21  0 3 1
42.2  2.140  31  2 0 0
54.9  1.672  17  2 2 2
63.8  1.458  25  1 3 4


2.
Simulated X-ray diffraction stick pattern of TiPtS for copper Kα, from a crystal structure in Alexandria, relaxed with PBE.

Atomic structure:
```
data_TiPtS
_space_group_name_H-M_alt 'R -3 m'
_space_group_IT_number 166
_space_group_name_Hall '-R 3 2"'
_cell_length_a 3.3572
_cell_length_b 3.3572
_cell_length_c 35.7186
_cell_angle_alpha 90.00
_cell_angle_beta 90.00
_cell_angle_gamma 120.00
loop_
_atom_site_label
_atom_site_fract_x
_atom_site_fract_y
_atom_site_fract_z
Ti1 0.0000 0.0000 0.0776
Pt1 0.0000 0.0000 0.3629
S1 0.0000 0.0000 0.2159
```

The 10 most intense peaks (10° ≤ 2θ ≤ 80°), sorted by position:
2theta  d (Å)  I/Imax  h k l
32.4  2.765  59  1 0 4
35.5  2.526  100  1 0 7
36.9  2.436  18  0 1 8
40.0  2.255  12  1 0 10
41.7  2.166  36  0 1 11
47.4  1.918  36  0 1 14
54.7  1.679  30  1 1 0
55.3  1.662  18  1 1 3
66.9  1.398  15  0 2 7
73.9  1.282  20  1 1 18


3.
Simulated X-ray diffraction stick pattern of Nb2CuMoSe for copper Kα, from a crystal structure in Alexandria, relaxed with PBE.

Atomic structure:
```
data_Nb2CuMoSe
_space_group_name_H-M_alt 'P 4/m m m'
_space_group_IT_number 123
_space_group_name_Hall '-P 4 2'
_cell_length_a 4.688
_cell_length_b 4.688
_cell_length_c 4.558
_cell_angle_alpha 90.00
_cell_angle_beta 90.00
_cell_angle_gamma 90.00
loop_
_atom_site_label
_atom_site_fract_x
_atom_site_fract_y
_atom_site_fract_z
Nb1 0.000 0.500 0.000
Cu1 0.000 0.000 0.000
Mo1 0.000 0.000 0.500
Se1 0.500 0.500 0.500
```

The 10 most intense peaks (10° ≤ 2θ ≤ 80°), sorted by position:
2theta  d (Å)  I/Imax  h k l
18.9  4.688  18  1 0 0
19.5  4.558  8  0 0 1
33.4  2.681  100  1 1 1
38.4  2.344  73  2 0 0
39.5  2.279  33  0 0 2
55.4  1.658  24  2 2 0
56.3  1.634  46  2 0 2
66.3  1.410  27  3 1 1
67.9  1.381  12  1 1 3
70.2  1.341  23  2 2 2


4.
Simulated X-ray diffraction stick pattern of V2GaSe4 for copper Kα, from a crystal structure in Alexandria, relaxed with PBE.

Atomic structure:
Cell: 10.703 10.703 10.703 Å, 90.00 90.00 90.00°
Space group Fd-3m (No. 227, origin choice 2)
Symmetry-distinct sites (fractional):
V1 0.000 0.000 0.000 (multiplicity 16)
Ga1 0.125 0.125 0.625 (multiplicity 8)
Se1 0.009 0.009 0.241 (multiplicity 32)

The 10 most intense peaks (10° ≤ 2θ ≤ 80°), sorted by position:
2theta  d (Å)  I/Imax  h k l
23.5  3.784  19  2 2 0
27.6  3.227  37  3 1 1
28.9  3.090  55  2 2 2
33.5  2.676  72  4 0 0
44.0  2.060  32  5 1 1
48.1  1.892  100  4 4 0
57.1  1.614  21  6 2 2
59.9  1.545  15  4 4 4
67.2  1.393  8  5 5 3
70.4  1.338  14  8 0 0


5.
Simulated X-ray diffraction stick pattern of Yb3Mn for copper Kα, from a crystal structure in Alexandria, relaxed with PBE.

Atomic structure:
```
data_Yb3Mn
_space_group_name_H-M_alt 'F m -3 m'
_space_group_IT_number 225
_space_group_name_Hall '-F 4 2 3'
_cell_length_a 7.633
_cell_length_b 7.633
_cell_length_c 7.633
_cell_angle_alpha 90.00
_cell_angle_beta 90.00
_cell_angle_gamma 90.00
loop_
_atom_site_label
_atom_site_fract_x
_atom_site_fract_y
_atom_site_fract_z
Yb1 0.000 0.000 0.000
Yb2 0.250 0.250 0.250
Mn1 0.000 0.000 0.500
```

The 10 most intense peaks (10° ≤ 2θ ≤ 80°), sorted by position:
2theta  d (Å)  I/Imax  h k l
20.1  4.407  9  1 1 1
23.3  3.817  5  2 0 0
33.2  2.699  100  2 2 0
39.1  2.302  5  3 1 1
47.7  1.908  18  4 0 0
52.2  1.751  2  3 3 1
53.7  1.707  2  4 2 0
59.3  1.558  38  4 2 2
69.7  1.349  12  4 4 0
79.4  1.207  16  6 2 0


6.
Simulated X-ray diffraction stick pattern of TmUMo for copper Kα, from a crystal structure in Alexandria, relaxed with PBE.

Atomic structure:
```
data_TmUMo
_space_group_name_H-M_alt 'I 4/m m m'
_space_group_IT_number 139
_space_group_name_Hall '-I 4 2'
_cell_length_a 3.427
_cell_length_b 3.427
_cell_length_c 24.194
_cell_angle_alpha 90.00
_cell_angle_beta 90.00
_cell_angle_gamma 90.00
loop_
_atom_site_label
_atom_site_fract_x
_atom_site_fract_y
_atom_site_fract_z
Tm1 0.000 0.000 0.073
U1 0.000 0.000 0.340
Mo1 0.000 0.000 0.210
```

The 10 most intense peaks (10° ≤ 2θ ≤ 80°), sorted by position:
2theta  d (Å)  I/Imax  h k l
14.6  6.049  23  0 0 4
28.3  3.154  38  1 0 3
29.5  3.024  12  0 0 8
36.9  2.433  100  1 0 7
37.1  2.423  66  1 1 0
42.8  2.115  13  1 0 9
48.1  1.891  13  1 1 8
53.5  1.713  26  2 0 0
63.8  1.460  17  1 0 15
66.8  1.401  36  2 1 7


7.
Simulated X-ray diffraction stick pattern of TlOs2Ru2 for copper Kα, from a crystal structure in Alexandria, relaxed with PBE.

Atomic structure:
```
data_TlOs2Ru2
_space_group_name_H-M_alt 'I 4/m m m'
_space_group_IT_number 139
_space_group_name_Hall '-I 4 2'
_cell_length_a 3.640
_cell_length_b 3.640
_cell_length_c 12.934
_cell_angle_alpha 90.00
_cell_angle_beta 90.00
_cell_angle_gamma 90.00
loop_
_atom_site_label
_atom_site_fract_x
_atom_site_fract_y
_atom_site_fract_z
Tl1 0.000 0.000 0.000
Os1 0.000 0.500 0.250
Ru1 0.000 0.000 0.396
```

The 10 most intense peaks (10° ≤ 2θ ≤ 80°), sorted by position:
2theta  d (Å)  I/Imax  h k l
27.6  3.234  22  0 0 4
32.2  2.781  30  1 0 3
37.6  2.391  100  1 1 2
42.9  2.109  29  1 0 5
45.0  2.014  19  1 1 4
50.1  1.820  34  2 0 0
55.6  1.653  15  1 1 6
58.2  1.586  12  2 0 4
68.1  1.378  15  2 1 5
79.3  1.209  14  2 0 8